# 1
Starting from a structure optimized by DFT (PBE+U), the powder diffractogram of KMo3O9 was simulated for Cu Kα (weighted mean of Kα1 and Kα2).
Lines closer than 0.1° are merged.

Peak list (6 most intense, 10° ≤ 2θ ≤ 90°, by angle)
2θ 11.6, I = 100
2θ 25.3, I = 31
2θ 25.6, I = 45
2θ 26.5, I = 45
2θ 28.9, I = 52
2θ 29.3, I = 50

Cell and atoms:
Cell: 15.317 7.814 6.521 Å, 90.00 92.26 90.00°
Space group C2/m (No. 12)
Inequivalent atoms, fractional coordinates:
K (0.201, 0.000, 0.342) [4 per cell]
Mo (0.056, 0.240, 0.767) [8 per cell]
Mo (0.119, 0.500, 0.134) [4 per cell]
O (0.000, 0.242, 0.500) [4 per cell]
O (0.037, 0.000, 0.794) [4 per cell]
O (0.037, 0.500, 0.807) [4 per cell]
O (0.080, 0.262, 0.086) [8 per cell]
O (0.148, 0.500, 0.393) [4 per cell]
O (0.164, 0.237, 0.699) [8 per cell]
O (0.217, 0.500, 0.011) [4 per cell]

# 2
Starting from a structure optimized by DFT (PBE+U), the powder diffractogram of LiV4O5F7 was simulated for Cu Kα (weighted mean of Kα1 and Kα2).
Lines closer than 0.1° are merged.

Peak list (6 most intense, 10° ≤ 2θ ≤ 90°, by angle)
2θ 23.6, I = 50
2θ 23.9, I = 100
2θ 40.2, I = 10
2θ 48.4, I = 11
2θ 49.0, I = 20
2θ 54.3, I = 16

Cell and atoms:
Cell: 5.184 5.366 8.990 Å, 74.04 89.48 61.33°
Space group P1 (No. 1)
Inequivalent atoms, fractional coordinates:
Li (0.000, 0.000, 0.000) [1 per cell]
V (0.066, 0.900, 0.355) [1 per cell]
V (0.310, 0.341, 0.090) [1 per cell]
V (0.603, 0.874, 0.852) [1 per cell]
V (0.833, 0.398, 0.587) [1 per cell]
O (0.029, 0.113, 0.471) [1 per cell]
O (0.139, 0.132, 0.166) [1 per cell]
O (0.549, 0.142, 0.965) [1 per cell]
O (0.972, 0.632, 0.921) [1 per cell]
O (0.985, 0.613, 0.511) [1 per cell]
F (0.088, 0.658, 0.208) [1 per cell]
F (0.131, 0.126, 0.778) [1 per cell]
F (0.453, 0.659, 0.013) [1 per cell]
F (0.491, 0.620, 0.418) [1 per cell]
F (0.586, 0.638, 0.717) [1 per cell]
F (0.636, 0.144, 0.669) [1 per cell]
F (0.640, 0.133, 0.265) [1 per cell]

# 3
Starting from a structure optimized by DFT (PBE+U), the powder diffractogram of Li2FeCo3O8 was simulated for Cu Kα (weighted mean of Kα1 and Kα2).
Lines closer than 0.1° are merged.

Peak list (6 most intense, 10° ≤ 2θ ≤ 90°, by angle)
2θ 18.8, I = 100
2θ 36.5, I = 47
2θ 38.1, I = 13
2θ 44.3, I = 52
2θ 58.7, I = 20
2θ 64.5, I = 25

Cell and atoms:
Cell: 8.171 8.174 8.178 Å, 90.05 90.01 90.08°
Space group P1 (No. 1)
Inequivalent atoms, fractional coordinates:
Li (0.000, 0.000, 0.000) [1 per cell]
Li (0.004, 0.495, 0.501) [1 per cell]
Li (0.250, 0.244, 0.750) [1 per cell]
Li (0.255, 0.745, 0.255) [1 per cell]
Li (0.500, 0.996, 0.505) [1 per cell]
Li (0.505, 0.500, 0.005) [1 per cell]
Li (0.752, 0.749, 0.755) [1 per cell]
Li (0.756, 0.248, 0.251) [1 per cell]
Fe (0.127, 0.624, 0.879) [1 per cell]
Fe (0.376, 0.120, 0.127) [1 per cell]
Fe (0.630, 0.371, 0.627) [1 per cell]
Fe (0.880, 0.876, 0.378) [1 per cell]
Co (0.124, 0.372, 0.130) [1 per cell]
Co (0.127, 0.125, 0.381) [1 per cell]
Co (0.130, 0.876, 0.627) [1 per cell]
Co (0.374, 0.374, 0.377) [1 per cell]
Co (0.377, 0.626, 0.626) [1 per cell]
Co (0.381, 0.872, 0.874) [1 per cell]
Co (0.626, 0.624, 0.374) [1 per cell]
Co (0.628, 0.869, 0.124) [1 per cell]
Co (0.630, 0.119, 0.878) [1 per cell]
Co (0.874, 0.619, 0.127) [1 per cell]
Co (0.877, 0.369, 0.880) [1 per cell]
Co (0.881, 0.121, 0.630) [1 per cell]
O (0.109, 0.375, 0.897) [1 per cell]
O (0.111, 0.602, 0.123) [1 per cell]
O (0.114, 0.107, 0.614) [1 per cell]
O (0.125, 0.888, 0.397) [1 per cell]
O (0.133, 0.143, 0.144) [1 per cell]
O (0.142, 0.359, 0.363) [1 per cell]
O (0.144, 0.868, 0.858) [1 per cell]
O (0.147, 0.641, 0.631) [1 per cell]
O (0.358, 0.370, 0.147) [1 per cell]
O (0.363, 0.858, 0.641) [1 per cell]
O (0.364, 0.145, 0.374) [1 per cell]
O (0.374, 0.637, 0.855) [1 per cell]
O (0.381, 0.391, 0.609) [1 per cell]
O (0.393, 0.608, 0.392) [1 per cell]
O (0.397, 0.877, 0.111) [1 per cell]
O (0.400, 0.108, 0.882) [1 per cell]
O (0.608, 0.618, 0.610) [1 per cell]
O (0.609, 0.391, 0.381) [1 per cell]
O (0.615, 0.886, 0.893) [1 per cell]
O (0.624, 0.103, 0.108) [1 per cell]
O (0.629, 0.852, 0.357) [1 per cell]
O (0.641, 0.637, 0.141) [1 per cell]
O (0.643, 0.127, 0.648) [1 per cell]
O (0.646, 0.354, 0.875) [1 per cell]
O (0.854, 0.626, 0.362) [1 per cell]
O (0.857, 0.855, 0.133) [1 per cell]
O (0.861, 0.138, 0.865) [1 per cell]
O (0.874, 0.358, 0.648) [1 per cell]
O (0.882, 0.601, 0.892) [1 per cell]
O (0.892, 0.117, 0.395) [1 per cell]
O (0.893, 0.385, 0.113) [1 per cell]
O (0.898, 0.886, 0.623) [1 per cell]

# 4
Starting from a structure optimized by DFT (PBE+U), the powder diffractogram of ZnCo4O6 was simulated for Cu Kα (weighted mean of Kα1 and Kα2).
Lines closer than 0.1° are merged.

Peak list (6 most intense, 10° ≤ 2θ ≤ 90°, by angle)
2θ 34.0, I = 35
2θ 35.0, I = 100
2θ 36.6, I = 67
2θ 41.7, I = 26
2θ 43.0, I = 73
2θ 45.2, I = 38

Cell and atoms:
Cell: 2.943 9.836 14.998 Å, 90.00 90.00 90.00°
Space group Cmcm (No. 63)
Inequivalent atoms, fractional coordinates:
Zn (0.000, 0.156, 0.250) [4 per cell]
Co (0.000, 0.096, 0.638) [8 per cell]
Co (0.000, 0.363, 0.545) [8 per cell]
O (0.000, 0.000, 0.000) [4 per cell]
O (0.000, 0.197, 0.750) [4 per cell]
O (0.000, 0.278, 0.074) [8 per cell]
O (0.000, 0.451, 0.659) [8 per cell]

# 5
Starting from a structure optimized by DFT (PBE+U), the powder diffractogram of Li5Co3O8 was simulated for Cu Kα (weighted mean of Kα1 and Kα2).
Lines closer than 0.1° are merged.

Peak list (6 most intense, 10° ≤ 2θ ≤ 90°, by angle)
2θ 13.5, I = 19
2θ 18.0, I = 100
2θ 36.5, I = 29
2θ 42.8, I = 34
2θ 43.9, I = 62
2θ 62.4, I = 18

Cell and atoms:
Cell: 5.115 2.860 19.803 Å, 90.00 95.44 90.00°
Space group C2/m (No. 12)
Inequivalent atoms, fractional coordinates:
Li (0.000, 0.000, 0.000) [2 per cell]
Li (0.124, 0.500, 0.878) [4 per cell]
Li (0.128, 0.000, 0.374) [4 per cell]
Co (0.000, 0.500, 0.500) [2 per cell]
Co (0.250, 0.000, 0.750) [4 per cell]
O (0.064, 0.000, 0.195) [4 per cell]
O (0.064, 0.500, 0.692) [4 per cell]
O (0.181, 0.000, 0.557) [4 per cell]
O (0.186, 0.500, 0.063) [4 per cell]

Number 2 is which compound? LiV4O5F7

Number 2 is which compound? LiV4O5F7